[1]
This entry pairs a crystal structure of Pm2Dy9Y3 with its calculated PXRD pattern. Radiation: CuKα. Structure: a PBE-relaxed structure.
Lines closer than 0.1° are merged.

Atomic structure:
a = 6.4335 Å, b = 8.4169 Å, c = 8.8906 Å
α = 87.77°, β = 83.42°, γ = 71.21°
Space group P1 (No. 1)
One atom of each set of equivalent atoms:
Pm: 0.0000 0.0000 0.0000
Pm: 0.1430 0.6472 0.1964
Dy: 0.0706 0.3929 0.9438
Dy: 0.1841 0.1796 0.2790
Dy: 0.3052 0.8309 0.4962
Dy: 0.3389 0.3970 0.5401
Dy: 0.4994 0.5876 0.8234
Dy: 0.5981 0.7895 0.1195
Dy: 0.7480 0.9890 0.4098
Dy: 0.9162 0.1999 0.6623
Dy: 0.9467 0.7436 0.7434
Y: 0.4660 0.0428 0.7914
Y: 0.6194 0.3464 0.1604
Y: 0.7918 0.5515 0.4492

Top 6 peaks for 15° ≤ 2θ ≤ 90°, sorted by position:
(hkl), 2θ (°), Rel. int.
0 2 2, 30.2, 41
1 2 -2, 31.4, 100
1 -2 1, 31.7, 55
2 0 -1, 32.3, 55
1 0 3, 32.4, 61
1 3 1, 33.3, 25

[2]
This entry pairs a crystal structure of Pm4DyY10 with its calculated PXRD pattern. Radiation: CuKα. Structure: a PBE-relaxed structure.
Lines closer than 0.1° are merged.

Atomic structure:
a = 12.2610 Å, b = 12.2610 Å, c = 7.7532 Å
α = 90.00°, β = 90.00°, γ = 90.00°
Space group I4/m (No. 87)
One atom of each set of equivalent atoms:
Pm: 0.1004 0.7006 0.0000
Dy: 0.0000 0.0000 0.5000
Y: 0.0000 0.5000 0.2500
Y: 0.0992 0.1991 0.2514

Top 6 peaks for 15° ≤ 2θ ≤ 90°, sorted by position:
(hkl), 2θ (°), Rel. int.
1 2 1, 19.8, 47
3 1 2, 32.7, 100
5 0 1, 38.5, 26
6 2 0, 46.9, 18
5 5 2, 58.3, 37
10 0 0, 77.9, 16